BaV3O8: simulated powder XRD pattern (Cu Kα), based on a crystal structure in the Materials Project, relaxed with GGA+U.
Intensities are scaled so that the largest is 100.

Peak list (10 most intense, 5 to 70 degrees two-theta, low angle first)
- 2θ = 24.56°, I = 23, hkl 2 0 0
- 2θ = 27.09°, I = 34, hkl 1 1 -2
- 2θ = 27.33°, I = 100, hkl 0 1 2
- 2θ = 27.81°, I = 23, hkl 2 0 -2
- 2θ = 28.55°, I = 71, hkl 2 1 -1
- 2θ = 29.26°, I = 44, hkl 2 1 0
- 2θ = 31.74°, I = 51, hkl 0 2 0
- 2θ = 32.10°, I = 23, hkl 1 0 -3
- 2θ = 53.86°, I = 23, hkl 0 3 2
- 2θ = 58.67°, I = 23, hkl 4 2 -1

Atomic structure:
a = 7.6084 Å, b = 5.6383 Å, c = 8.3857 Å
α = 90.00°, β = 107.39°, γ = 90.00°
Sites, in units of the cell vectors:
1 Ba 0.2157 0.2500 0.3982
2 Ba 0.7843 0.7500 0.6018
3 V 0.0694 0.2500 0.8611
4 V 0.2951 0.7500 0.7219
5 V 0.4145 0.7500 0.1818
6 V 0.5855 0.2500 0.8182
7 V 0.7049 0.2500 0.2781
8 V 0.9306 0.7500 0.1389
9 O 0.1305 0.5028 0.7711
10 O 0.1305 0.9972 0.7711
11 O 0.1679 0.2500 0.0668
12 O 0.1772 0.7500 0.5164
13 O 0.1821 0.7500 0.1886
14 O 0.4278 0.7500 0.9856
15 O 0.4768 0.0030 0.7013
16 O 0.4768 0.4970 0.7013
17 O 0.5232 0.5030 0.2987
18 O 0.5232 0.9970 0.2987
19 O 0.5722 0.2500 0.0144
20 O 0.8179 0.2500 0.8114
21 O 0.8228 0.2500 0.4836
22 O 0.8321 0.7500 0.9332
23 O 0.8695 0.0028 0.2289
24 O 0.8695 0.4972 0.2289